No. 1
This entry pairs a crystal structure of Mg3Si4O13 with its calculated powder diffractogram. Radiation: Cu Kα X-rays. Structure: a structure optimized by DFT (GGA-PBE).
Neutral-atom scattering factors, no anomalous dispersion.

Principal peaks in the range 10 to 90 degrees two-theta, sorted by position:
Position (°2θ)	intensity
19.0	38
19.3	52
24.2	37
25.8	50
26.1	75
27.8	47
33.9	41
36.6	100
54.2	39
59.9	34

a b c (Å): 5.383 5.383 10.360
angles (deg): 94.41 94.41 120.63
Atoms (fractional coordinates):
Mg: 0.000 0.000 0.000
Mg: 0.324 0.676 0.000
Mg: 0.676 0.324 0.000
Si: 0.089 0.756 0.271
Si: 0.244 0.911 0.729
Si: 0.756 0.089 0.271
Si: 0.911 0.244 0.729
O: 0.042 0.707 0.111
O: 0.059 0.059 0.676
O: 0.063 0.561 0.675
O: 0.293 0.958 0.889
O: 0.377 0.377 0.083
O: 0.439 0.937 0.325
O: 0.500 0.500 0.500
O: 0.561 0.063 0.675
O: 0.623 0.623 0.917
O: 0.707 0.042 0.111
O: 0.937 0.439 0.325
O: 0.941 0.941 0.324
O: 0.958 0.293 0.889

No. 2
This entry pairs a crystal structure of MgCu4H8C2O10 with its calculated powder diffractogram. Radiation: Cu Kα X-rays. Structure: a structure optimized by DFT (GGA-PBE).
Neutral-atom scattering factors, no anomalous dispersion.

Principal peaks in the range 10 to 90 degrees two-theta, sorted by position:
Position (°2θ)	intensity
12.8	100
21.6	7
23.6	7
25.8	12
28.3	12
33.5	8
36.7	8
39.6	9
41.3	8
48.2	6

a b c (Å): 6.198 6.313 7.524
angles (deg): 112.81 95.02 91.08
Atoms (fractional coordinates):
Mg: 0.000 0.000 0.000
Cu: 0.026 0.584 0.051
Cu: 0.324 0.361 0.153
Cu: 0.544 0.856 0.150
Cu: 0.788 0.396 0.196
H: 0.086 0.254 0.377
H: 0.094 0.221 0.774
H: 0.294 0.698 0.845
H: 0.378 0.999 0.670
H: 0.552 0.266 0.404
H: 0.562 0.449 0.924
H: 0.773 0.602 0.520
H: 0.939 0.937 0.317
C: 0.282 0.968 0.528
C: 0.705 0.625 0.660
O: 0.064 0.294 0.262
O: 0.076 0.261 0.914
O: 0.121 0.095 0.537
O: 0.247 0.791 0.971
O: 0.341 0.815 0.378
O: 0.549 0.202 0.260
O: 0.557 0.504 0.066
O: 0.578 0.466 0.659
O: 0.764 0.812 0.802
O: 0.872 0.856 0.182

No. 3
This entry pairs a crystal structure of MgCu2Ge2O6 with its calculated powder diffractogram. Radiation: Cu Kα X-rays. Structure: a structure optimized by DFT (GGA-PBE).
Neutral-atom scattering factors, no anomalous dispersion.

Principal peaks in the range 10 to 90 degrees two-theta, sorted by position:
Position (°2θ)	intensity
19.3	21
26.6	100
33.1	30
34.8	25
35.7	43
42.6	13
45.5	21
49.3	20
55.3	21
66.2	13

a b c (Å): 3.115 8.490 5.456
angles (deg): 90.00 90.00 90.00
Atoms (fractional coordinates):
Mg: 0.000 0.000 0.000
Cu: 0.500 0.285 0.106
Cu: 0.500 0.715 0.106
Ge: 0.000 0.000 0.506
Ge: 0.000 0.500 0.701
O: 0.000 0.159 0.284
O: 0.000 0.331 0.892
O: 0.000 0.669 0.892
O: 0.000 0.841 0.284
O: 0.500 0.000 0.733
O: 0.500 0.500 0.520

No. 4
This entry pairs a crystal structure of Ba2SrTa6Bi6O27 with its calculated powder diffractogram. Radiation: Cu Kα X-rays. Structure: a structure optimized by DFT (GGA-PBE).
Neutral-atom scattering factors, no anomalous dispersion.

Principal peaks in the range 10 to 90 degrees two-theta, sorted by position:
Position (°2θ)	intensity
28.5	100
28.8	100
32.3	74
35.0	25
45.9	21
46.7	20
48.3	46
55.1	34
55.6	32
59.0	22

a b c (Å): 14.269 14.269 14.269
angles (deg): 164.34 130.85 51.91
Atoms (fractional coordinates):
Ba: 0.167 0.000 0.167
Ba: 0.833 0.000 0.833
Sr: 0.500 0.000 0.500
Ta: 0.089 0.589 0.500
Ta: 0.247 0.412 0.835
Ta: 0.423 0.588 0.835
Ta: 0.577 0.412 0.165
Ta: 0.753 0.588 0.165
Ta: 0.911 0.411 0.500
Bi: 0.035 0.202 0.833
Bi: 0.299 0.799 0.500
Bi: 0.368 0.202 0.167
Bi: 0.632 0.798 0.833
Bi: 0.701 0.201 0.500
Bi: 0.965 0.798 0.167
O: 0.000 0.500 0.500
O: 0.076 0.076 0.000
O: 0.083 0.750 0.333
O: 0.084 0.417 0.667
O: 0.163 0.663 0.500
O: 0.173 0.338 0.835
O: 0.250 0.250 0.000
O: 0.250 0.583 0.667
O: 0.265 0.926 0.339
O: 0.338 0.500 0.838
O: 0.413 0.074 0.339
O: 0.417 0.750 0.667
O: 0.418 0.418 0.000
O: 0.497 0.662 0.835
O: 0.503 0.338 0.165
O: 0.582 0.582 0.000
O: 0.583 0.250 0.333
O: 0.587 0.926 0.661
O: 0.662 0.500 0.162
O: 0.735 0.074 0.661
O: 0.750 0.417 0.333
O: 0.750 0.750 0.000
O: 0.827 0.662 0.165
O: 0.837 0.337 0.500
O: 0.916 0.583 0.333
O: 0.917 0.250 0.667
O: 0.924 0.924 0.000